1.
Structure and calculated XRD peak list of CaMg2ScPd4 (the PBE geometry in Alexandria; copper Kα).

Structural model:
Unit cell a=4.6732 b=4.6732 c=23.0755 alpha=90.00 beta=90.00 gamma=120.00
Space group R-3m (No. 166, hexagonal axes)
Unique sites:
1 Ca 0.0000 0.0000 0.0000 x3
2 Mg 0.0000 0.0000 0.2488 x6
3 Sc 0.0000 0.0000 0.5000 x3
4 Pd 0.0000 0.0000 0.1297 x6
5 Pd 0.0000 0.0000 0.3819 x6

Largest 8 diffraction maxima, sorted by position, 10° ≤ 2θ ≤ 90°:
(1 0 4), 2θ = 26.91°, I = 67; (0 1 8), 2θ = 38.32°, I = 95; (1 1 0), 2θ = 38.53°, I = 100; (0 2 4), 2θ = 47.62°, I = 14; (2 0 8), 2θ = 55.47°, I = 31; (1 0 16), 2θ = 69.15°, I = 13; (1 2 8), 2θ = 69.57°, I = 31; (3 0 0), 2θ = 69.70°, I = 16



2.
Structure and calculated XRD peak list of Sm4ErS7 (the PBE geometry in Alexandria; copper Kα).

Structural model:
Unit cell a=13.0928 b=3.8819 c=11.7676 alpha=90.00 beta=104.99 gamma=90.00
Space group Cm (No. 8)
Unique sites:
1 Sm 0.0000 0.0000 0.0000 x2
2 Sm 0.0876 0.5000 0.3850 x2
3 Sm 0.1895 0.0000 0.7676 x2
4 Sm 0.3880 0.5000 0.5740 x2
5 Er 0.2763 0.5000 0.1541 x2
6 S 0.0483 0.5000 0.6273 x2
7 S 0.1312 0.5000 0.9327 x2
8 S 0.1543 0.0000 0.2232 x2
9 S 0.2277 0.0000 0.5244 x2
10 S 0.3477 0.5000 0.7913 x2
11 S 0.3843 0.0000 0.0790 x2
12 S 0.4278 0.5000 0.3558 x2

Largest 8 diffraction maxima, sorted by position, 10° ≤ 2θ ≤ 90°:
(2 0 2), 2θ = 23.60°, I = 80; (2 0 -3), 2θ = 24.04°, I = 100; (1 1 1), 2θ = 25.81°, I = 33; (4 0 -1), 2θ = 27.25°, I = 37; (3 1 -1), 2θ = 30.93°, I = 38; (3 1 -2), 2θ = 32.52°, I = 55; (3 1 1), 2θ = 33.67°, I = 35; (6 0 -4), 2θ = 46.52°, I = 34



3.
Structure and calculated XRD peak list of Ho5Sc4In4 (the PBE geometry in Alexandria; copper Kα).

Structural model:
Unit cell a=12.0094 b=12.0094 c=4.8334 alpha=90.00 beta=90.00 gamma=90.00
Space group I4/m (No. 87)
Unique sites:
1 Ho 0.0000 0.0000 0.0000 x2
2 Ho 0.1048 0.1909 0.5000 x8
3 Sc 0.0893 0.5969 0.5000 x8
4 In 0.0896 0.7552 0.0000 x8

Largest 8 diffraction maxima, sorted by position, 10° ≤ 2θ ≤ 90°:
(1 1 0), 2θ = 10.42°, I = 33; (2 1 1), 2θ = 24.78°, I = 33; (3 0 1), 2θ = 28.96°, I = 33; (3 2 1), 2θ = 32.65°, I = 100; (2 4 0), 2θ = 33.37°, I = 41; (4 1 1), 2θ = 36.00°, I = 59; (0 0 2), 2θ = 37.20°, I = 34; (2 4 2), 2θ = 50.83°, I = 25



4.
Structure and calculated XRD peak list of Rb3Pr3BiS8 (the PBE geometry in Alexandria; copper Kα).

Structural model:
Unit cell a=8.3904 b=8.3904 c=23.5754 alpha=90.00 beta=90.00 gamma=120.00
Space group R-3m (No. 166, hexagonal axes)
Unique sites:
1 Rb 0.0000 0.5000 0.0000 x9
2 Pr 0.0000 0.5000 0.5000 x9
3 Bi 0.0000 0.0000 0.5000 x3
4 S 0.0000 0.0000 0.2321 x6
5 S 0.0123 0.5061 0.2309 x18

Largest 8 diffraction maxima, sorted by position, 10° ≤ 2θ ≤ 90°:
(0 0 3), 2θ = 11.26°, I = 50; (0 0 6), 2θ = 22.63°, I = 22; (2 0 2), 2θ = 25.66°, I = 41; (0 2 4), 2θ = 28.87°, I = 100; (2 0 8), 2θ = 39.37°, I = 37; (2 2 0), 2θ = 43.13°, I = 34; (2 2 6), 2θ = 49.24°, I = 18; (4 0 4), 2θ = 52.73°, I = 18



5.
Structure and calculated XRD peak list of NaLiPrPt (the PBE geometry in Alexandria; copper Kα).

Structural model:
Unit cell a=7.1019 b=7.1019 c=7.1019 alpha=90.00 beta=90.00 gamma=90.00
Space group F-43m (No. 216)
Unique sites:
1 Na 0.0000 0.0000 0.0000 x4
2 Li 0.2500 0.2500 0.7500 x4
3 Pr 0.0000 0.0000 0.5000 x4
4 Pt 0.2500 0.2500 0.2500 x4

Largest 8 diffraction maxima, sorted by position, 10° ≤ 2θ ≤ 90°:
(1 1 1), 2θ = 21.67°, I = 87; (2 2 0), 2θ = 35.76°, I = 100; (3 1 1), 2θ = 42.20°, I = 47; (4 0 0), 2θ = 51.47°, I = 18; (3 3 1), 2θ = 56.48°, I = 20; (4 2 2), 2θ = 64.25°, I = 36; (5 3 1), 2θ = 79.91°, I = 15; (6 2 0), 2θ = 86.71°, I = 16



6.
Structure and calculated XRD peak list of HgPF6 (the PBE geometry in Alexandria; copper Kα).

Structural model:
Unit cell a=9.7444 b=5.2024 c=9.7824 alpha=90.00 beta=104.10 gamma=90.00
Space group C2/c (No. 15)
Unique sites:
1 Hg 0.0000 0.1805 0.2500 x4
2 P 0.2500 0.2500 0.0000 x4
3 F 0.1044 0.3621 0.8951 x8
4 F 0.1627 0.0041 0.5307 x8
5 F 0.2117 0.3985 0.1345 x8

Largest 8 diffraction maxima, sorted by position, 10° ≤ 2θ ≤ 90°:
(0 0 2), 2θ = 18.74°, I = 40; (1 1 1), 2θ = 22.61°, I = 100; (2 0 -2), 2θ = 23.11°, I = 54; (2 0 2), 2θ = 29.76°, I = 26; (1 1 -3), 2θ = 32.55°, I = 60; (1 1 3), 2θ = 36.46°, I = 35; (2 2 -1), 2θ = 39.56°, I = 37; (2 2 -2), 2θ = 41.88°, I = 28